Structure and theoretical X-ray diffraction stick pattern of PmDy4Rh4 (a crystal structure in Alexandria, relaxed with GGA-PBE; CuKα).

Cell and atoms:
a b c (Å): 8.871 8.871 5.619
angles (deg): 90.00 90.00 90.00
Space group P4_2/n (No. 86, origin choice 2)
Asymmetric unit:
Pm  0.250  0.250  0.250 [2 per cell]
Dy  0.072  0.659  0.164 [8 per cell]
Rh  0.034  0.623  0.661 [8 per cell]

The 10 most intense peaks (10° ≤ 2θ ≤ 90°), most intense first:
hkl 1 3 0, 31.89 deg, I 100
hkl 4 2 0, 45.72 deg, I 47
hkl 1 0 2, 33.45 deg, I 34
hkl 2 1 1, 27.52 deg, I 25
hkl 3 2 2, 49.23 deg, I 18
hkl 3 0 2, 44.48 deg, I 17
hkl 1 2 2, 39.29 deg, I 16
hkl 1 4 2, 53.65 deg, I 12
hkl 2 3 1, 40.00 deg, I 12
hkl 1 1 0, 14.12 deg, I 11